Entry 1:
Structure and theoretical X-ray diffraction stick pattern of K2CrPdF6 (a structure optimized by DFT (GGA+U); Cu Kα X-rays).
Peak positions follow from Bragg's law for the DFT cell and can differ from measured ones.

The 12 most intense peaks (10° ≤ 2θ ≤ 80°), sorted by position:
| 2θ (°) | I (rel.) |
| --- | --- |
| 17.8 | 10 |
| 20.1 | 47 |
| 21.5 | 19 |
| 28.5 | 28 |
| 28.7 | 28 |
| 29.6 | 100 |
| 40.9 | 57 |
| 43.8 | 24 |
| 51.2 | 19 |
| 51.5 | 18 |
| 61.5 | 29 |
| 67.6 | 10 |

Structure:
Unit cell a=6.046 b=6.046 c=6.046 alpha=118.17 beta=117.59 gamma=93.71
Fractional positions:
K: 0.250 0.250 0.000
K: 0.750 0.750 0.000
Cr: 0.500 0.000 0.500
Pd: 0.000 0.500 0.500
F: 0.262 0.762 0.500
F: 0.280 0.222 0.502
F: 0.280 0.778 0.058
F: 0.720 0.222 0.942
F: 0.720 0.778 0.498
F: 0.738 0.238 0.500

***

Entry 2:
Structure and theoretical X-ray diffraction stick pattern of KCrPtF6 (a structure optimized by DFT (GGA+U); Cu Kα X-rays).
Peak positions follow from Bragg's law for the DFT cell and can differ from measured ones.

The 12 most intense peaks (10° ≤ 2θ ≤ 80°), sorted by position:
| 2θ (°) | I (rel.) |
| --- | --- |
| 15.9 | 100 |
| 17.5 | 45 |
| 19.1 | 21 |
| 23.0 | 63 |
| 24.3 | 45 |
| 24.9 | 45 |
| 29.5 | 24 |
| 32.5 | 29 |
| 32.7 | 21 |
| 35.9 | 22 |
| 38.2 | 19 |
| 45.6 | 22 |

Structure:
Unit cell a=5.538 b=5.553 c=5.597 alpha=91.98 beta=92.10 gamma=113.64
Fractional positions:
K: 0.000 0.000 0.000
Cr: 0.347 0.654 0.501
Pt: 0.685 0.315 0.500
F: 0.042 0.360 0.652
F: 0.118 0.682 0.263
F: 0.322 0.881 0.742
F: 0.370 0.337 0.320
F: 0.640 0.958 0.350
F: 0.666 0.630 0.680

***

Entry 3:
Structure and theoretical X-ray diffraction stick pattern of K2CrSnF6 (a structure optimized by DFT (GGA+U); Cu Kα X-rays).
Peak positions follow from Bragg's law for the DFT cell and can differ from measured ones.

The 12 most intense peaks (10° ≤ 2θ ≤ 80°), sorted by position:
| 2θ (°) | I (rel.) |
| --- | --- |
| 17.4 | 18 |
| 19.2 | 26 |
| 20.4 | 56 |
| 27.7 | 84 |
| 28.7 | 100 |
| 29.3 | 33 |
| 39.1 | 31 |
| 41.4 | 63 |
| 43.8 | 17 |
| 49.6 | 42 |
| 51.4 | 19 |
| 59.3 | 24 |

Structure:
Unit cell a=6.237 b=6.237 c=6.241 alpha=117.61 beta=117.61 gamma=58.48
Fractional positions:
K: 0.243 0.243 0.228
K: 0.757 0.757 0.772
Cr: 0.500 0.500 0.000
Sn: 0.000 0.000 0.500
F: 0.213 0.684 0.174
F: 0.250 0.250 0.660
F: 0.316 0.787 0.826
F: 0.684 0.213 0.174
F: 0.750 0.750 0.340
F: 0.787 0.316 0.826

***

Entry 4:
Structure and theoretical X-ray diffraction stick pattern of K2TlCr2F7 (a structure optimized by DFT (GGA+U); Cu Kα X-rays).
Peak positions follow from Bragg's law for the DFT cell and can differ from measured ones.

The 12 most intense peaks (10° ≤ 2θ ≤ 80°), sorted by position:
| 2θ (°) | I (rel.) |
| --- | --- |
| 20.7 | 26 |
| 24.0 | 44 |
| 28.8 | 72 |
| 29.5 | 100 |
| 33.6 | 26 |
| 36.3 | 30 |
| 38.8 | 37 |
| 41.2 | 53 |
| 43.1 | 19 |
| 51.4 | 42 |
| 52.7 | 20 |
| 61.1 | 29 |

Structure:
Unit cell a=10.944 b=10.944 c=10.944 alpha=156.90 beta=156.90 gamma=32.90
Fractional positions:
K: 0.183 0.183 0.000
K: 0.817 0.817 0.000
Tl: 0.000 0.000 0.000
Cr: 0.402 0.402 0.000
Cr: 0.598 0.598 0.000
F: 0.099 0.599 0.500
F: 0.307 0.307 0.000
F: 0.401 0.901 0.500
F: 0.500 0.500 0.000
F: 0.599 0.099 0.500
F: 0.693 0.693 0.000
F: 0.901 0.401 0.500

***

Entry 5:
Structure and theoretical X-ray diffraction stick pattern of K3TlCr2F9 (a structure optimized by DFT (GGA+U); Cu Kα X-rays).
Peak positions follow from Bragg's law for the DFT cell and can differ from measured ones.

The 12 most intense peaks (10° ≤ 2θ ≤ 80°), sorted by position:
| 2θ (°) | I (rel.) |
| --- | --- |
| 17.2 | 29 |
| 20.1 | 100 |
| 27.1 | 84 |
| 30.0 | 58 |
| 36.0 | 13 |
| 40.8 | 65 |
| 43.9 | 19 |
| 45.9 | 17 |
| 47.8 | 21 |
| 51.5 | 25 |
| 62.3 | 16 |
| 64.7 | 13 |

Structure:
Unit cell a=5.961 b=5.961 c=8.553 alpha=90.00 beta=90.00 gamma=120.00
Fractional positions:
K: 0.000 0.000 0.000
K: 0.333 0.667 0.727
K: 0.667 0.333 0.273
Tl: 0.000 0.000 0.500
Cr: 0.333 0.667 0.141
Cr: 0.667 0.333 0.859
F: 0.000 0.500 0.000
F: 0.174 0.348 0.268
F: 0.174 0.826 0.268
F: 0.348 0.174 0.732
F: 0.500 0.000 0.000
F: 0.500 0.500 0.000
F: 0.652 0.826 0.268
F: 0.826 0.174 0.732
F: 0.826 0.652 0.732

***

Entry 6:
Structure and theoretical X-ray diffraction stick pattern of KTl2CrF5 (a structure optimized by DFT (GGA+U); Cu Kα X-rays).
Peak positions follow from Bragg's law for the DFT cell and can differ from measured ones.

The 12 most intense peaks (10° ≤ 2θ ≤ 80°), sorted by position:
| 2θ (°) | I (rel.) |
| --- | --- |
| 12.9 | 44 |
| 26.0 | 25 |
| 26.3 | 31 |
| 29.4 | 100 |
| 30.1 | 21 |
| 32.8 | 15 |
| 37.3 | 20 |
| 40.1 | 28 |
| 43.8 | 13 |
| 48.0 | 17 |
| 52.9 | 19 |
| 60.9 | 21 |

Structure:
Unit cell a=7.756 b=7.756 c=7.756 alpha=149.10 beta=134.92 gamma=55.66
Fractional positions:
K: 0.000 0.000 0.000
Tl: 0.269 0.769 0.500
Tl: 0.731 0.231 0.500
Cr: 0.500 0.500 0.000
F: 0.157 0.398 0.759
F: 0.361 0.602 0.759
F: 0.500 0.000 0.500
F: 0.639 0.398 0.241
F: 0.843 0.602 0.241